Entry 1:
LiMnO2: simulated XRD peak list (Cu Ka), based on a crystal structure in the Materials Project, relaxed with PBE+U.

Top 10 peaks for 15 to 90 degrees two-theta, sorted by position:
18.12 deg, I = 62.9, (0 1 1); 25.37 deg, I = 40.6, (0 2 1); 25.62 deg, I = 18.5, (1 0 1); 27.61 deg, I = 62.8, (1 1 1); 32.94 deg, I = 27.0, (1 2 1); 36.88 deg, I = 15.8, (1 0 2); 37.34 deg, I = 15.9, (1 3 0); 42.04 deg, I = 60.3, (2 0 0); 43.65 deg, I = 100.0, (0 3 2); 62.21 deg, I = 58.4, (2 3 2)

Cell lengths 4.2981, 8.7216, 5.9178 Å; angles 90.00, 90.00, 90.00 degrees
Space group Pmmn (No. 59, origin choice 2)
Inequivalent atoms, fractional coordinates:
Li (0.2500, 0.0839, 0.1295) (multiplicity 4)
Li (0.2500, 0.7500, 0.6228) (multiplicity 2)
Mn (0.2500, 0.0786, 0.6313) (multiplicity 4)
Mn (0.2500, 0.7500, 0.0927) (multiplicity 2)
O (0.2500, 0.2500, 0.4197) (multiplicity 2)
O (0.2500, 0.2500, 0.8662) (multiplicity 2)
O (0.2500, 0.5766, 0.3756) (multiplicity 4)
O (0.2500, 0.5786, 0.8603) (multiplicity 4)

Entry 2:
Li3Mn2CoO6: simulated XRD peak list (Cu Ka), based on a crystal structure in the Materials Project, relaxed with PBE+U.

Top 10 peaks for 15 to 90 degrees two-theta, sorted by position:
18.18 deg, I = 100.0, (0 0 1); 33.33 deg, I = 20.0, (1 -1 0); 36.14 deg, I = 25.0, (1 2 0); 36.88 deg, I = 9.3, (0 0 2); 39.76 deg, I = 34.5, (-1 1 1); 44.20 deg, I = 24.5, (1 2 -1); 44.32 deg, I = 24.2, (2 1 2); 46.31 deg, I = 11.2, (2 1 -1); 60.77 deg, I = 8.1, (0 3 0); 61.14 deg, I = 15.6, (1 2 3)

Cell lengths 5.0910, 5.1031, 5.1067 Å; angles 79.01, 73.42, 63.98 degrees
Space group P-1 (No. 2)
Inequivalent atoms, fractional coordinates:
Li (0.0000, 0.0000, 0.0000) (multiplicity 1)
Li (0.3575, 0.3122, 0.9926) (multiplicity 2)
Mn (0.1678, 0.6671, 0.5007) (multiplicity 2)
Co (0.5000, 0.0000, 0.5000) (multiplicity 1)
O (0.0997, 0.3287, 0.7159) (multiplicity 2)
O (0.2605, 0.9811, 0.2663) (multiplicity 2)
O (0.4001, 0.6796, 0.7372) (multiplicity 2)

Entry 3:
MnFe4Bi5O15: simulated XRD peak list (Cu Ka), based on a crystal structure in the Materials Project, relaxed with PBE+U.

Top 10 peaks for 15 to 90 degrees two-theta, sorted by position:
21.71 deg, I = 28.3, (1 1 0); 22.35 deg, I = 53.6, (-1 2 1); 31.17 deg, I = 68.2, (1 0 3); 31.54 deg, I = 100.0, (0 3 1); 32.07 deg, I = 32.1, (-1 1 4); 39.06 deg, I = 20.4, (0 2 4); 44.25 deg, I = 16.6, (2 2 0); 45.60 deg, I = 30.2, (0 2 -6); 56.41 deg, I = 14.0, (1 -6 1); 56.83 deg, I = 16.0, (2 1 -7)

Cell lengths 5.7454, 9.7882, 12.5197 Å; angles 97.83, 101.84, 106.06 degrees
Space group P1 (No. 1)
Inequivalent atoms, fractional coordinates:
Mn (0.0000, 0.0000, 0.0000) (multiplicity 1)
Mn (0.4992, 0.5010, 0.5006) (multiplicity 1)
Fe (0.0924, 0.9003, 0.2979) (multiplicity 1)
Fe (0.1960, 0.8013, 0.5984) (multiplicity 1)
Fe (0.2894, 0.7007, 0.8979) (multiplicity 1)
Fe (0.3929, 0.6006, 0.1982) (multiplicity 1)
Fe (0.5927, 0.4004, 0.7969) (multiplicity 1)
Fe (0.6984, 0.3031, 0.0993) (multiplicity 1)
Fe (0.7907, 0.2010, 0.3980) (multiplicity 1)
Fe (0.8897, 0.0996, 0.6981) (multiplicity 1)
Bi (0.0787, 0.3558, 0.9308) (multiplicity 1)
Bi (0.1837, 0.2578, 0.2323) (multiplicity 1)
Bi (0.2745, 0.1565, 0.5308) (multiplicity 1)
Bi (0.3809, 0.0575, 0.8311) (multiplicity 1)
Bi (0.4852, 0.9610, 0.1331) (multiplicity 1)
Bi (0.5803, 0.8566, 0.4312) (multiplicity 1)
Bi (0.6807, 0.7566, 0.7339) (multiplicity 1)
Bi (0.7722, 0.6556, 0.0280) (multiplicity 1)
Bi (0.8840, 0.5583, 0.3313) (multiplicity 1)
Bi (0.9866, 0.4577, 0.6291) (multiplicity 1)
O (0.0184, 0.0967, 0.8707) (multiplicity 1)
O (0.0280, 0.0841, 0.3475) (multiplicity 1)
O (0.0454, 0.9276, 0.6820) (multiplicity 1)
O (0.0602, 0.9072, 0.1364) (multiplicity 1)
O (0.0927, 0.4249, 0.1295) (multiplicity 1)
O (0.1364, 0.3470, 0.4916) (multiplicity 1)
O (0.2173, 0.8860, 0.9467) (multiplicity 1)
O (0.2227, 0.8971, 0.4690) (multiplicity 1)
O (0.2398, 0.7264, 0.2802) (multiplicity 1)
O (0.2631, 0.7039, 0.7371) (multiplicity 1)
O (0.2899, 0.2240, 0.7298) (multiplicity 1)
O (0.3780, 0.1603, 0.0944) (multiplicity 1)
O (0.4142, 0.6956, 0.0687) (multiplicity 1)
O (0.4350, 0.5214, 0.8795) (multiplicity 1)
O (0.4354, 0.6864, 0.5469) (multiplicity 1)
O (0.4617, 0.5069, 0.3412) (multiplicity 1)
O (0.4877, 0.0249, 0.3261) (multiplicity 1)
O (0.5604, 0.9543, 0.6904) (multiplicity 1)
O (0.6056, 0.4955, 0.6646) (multiplicity 1)
O (0.6290, 0.4868, 0.1491) (multiplicity 1)
O (0.6315, 0.3280, 0.4789) (multiplicity 1)
O (0.6632, 0.3047, 0.9382) (multiplicity 1)
O (0.6678, 0.8148, 0.9243) (multiplicity 1)
O (0.7604, 0.7553, 0.2894) (multiplicity 1)
O (0.8251, 0.2963, 0.2694) (multiplicity 1)
O (0.8275, 0.2857, 0.7474) (multiplicity 1)
O (0.8476, 0.1256, 0.0784) (multiplicity 1)
O (0.8539, 0.1001, 0.5370) (multiplicity 1)
O (0.9073, 0.6264, 0.5278) (multiplicity 1)
O (0.9542, 0.5555, 0.8860) (multiplicity 1)

Entry 4:
Li7Mn5O12: simulated XRD peak list (Cu Ka), based on a crystal structure in the Materials Project, relaxed with PBE+U.

Top 10 peaks for 15 to 90 degrees two-theta, sorted by position:
16.76 deg, I = 7.5, (0 0 2); 18.31 deg, I = 100.0, (2 0 0); 33.88 deg, I = 16.2, (0 0 4); 36.32 deg, I = 23.5, (1 3 -2); 40.62 deg, I = 35.4, (2 0 4); 44.38 deg, I = 55.3, (3 3 -2); 46.85 deg, I = 8.7, (3 3 2); 58.50 deg, I = 9.8, (5 3 -2); 61.55 deg, I = 16.7, (1 3 -6); 61.89 deg, I = 16.2, (5 3 2)

Cell lengths 9.7514, 8.6089, 10.6482 Å; angles 90.00, 96.36, 90.00 degrees
Space group C2/m (No. 12)
Inequivalent atoms, fractional coordinates:
Li (0.9998, 0.0000, 0.2502) (multiplicity 4)
Li (0.2375, 0.0000, 0.1314) (multiplicity 4)
Li (0.2371, 0.0000, 0.6309) (multiplicity 4)
Li (0.2437, 0.3352, 0.1166) (multiplicity 8)
Li (0.2444, 0.3356, 0.6167) (multiplicity 8)
Mn (0.0000, 0.1653, 0.0000) (multiplicity 4)
Mn (0.0000, 0.1658, 0.5000) (multiplicity 4)
Mn (0.9997, 0.3305, 0.2506) (multiplicity 8)
Mn (0.0000, 0.5000, 0.0000) (multiplicity 2)
Mn (0.0000, 0.5000, 0.5000) (multiplicity 2)
O (0.1054, 0.1745, 0.6690) (multiplicity 8)
O (0.1047, 0.1745, 0.1694) (multiplicity 8)
O (0.1157, 0.0000, 0.4487) (multiplicity 4)
O (0.1163, 0.0000, 0.9490) (multiplicity 4)
O (0.1163, 0.3318, 0.4453) (multiplicity 8)
O (0.1162, 0.3316, 0.9454) (multiplicity 8)
O (0.1178, 0.5000, 0.1958) (multiplicity 4)
O (0.1190, 0.5000, 0.6958) (multiplicity 4)

Entry 5:
LiCoOF2: simulated XRD peak list (Cu Ka), based on a crystal structure in the Materials Project, relaxed with PBE+U.

Top 10 peaks for 15 to 90 degrees two-theta, sorted by position:
23.01 deg, I = 100.0, (1 1 -1); 25.48 deg, I = 45.3, (2 0 0); 31.61 deg, I = 21.3, (2 0 -2); 33.42 deg, I = 33.6, (1 1 1); 39.29 deg, I = 27.5, (0 2 1); 47.03 deg, I = 22.3, (2 2 -2); 51.41 deg, I = 22.2, (3 1 -3); 52.60 deg, I = 15.4, (0 2 2); 56.34 deg, I = 15.4, (3 1 1); 61.85 deg, I = 16.9, (3 3 -1)

Cell lengths 8.6060, 5.2885, 5.6873 Å; angles 90.00, 125.66, 90.00 degrees
Space group Cc (No. 9)
Inequivalent atoms, fractional coordinates:
Li (0.0000, 0.2298, 0.0000) (multiplicity 4)
Co (0.2920, 0.2437, 0.8687) (multiplicity 4)
O (0.0490, 0.1359, 0.6402) (multiplicity 4)
F (0.2434, 0.4090, 0.1639) (multiplicity 4)
F (0.3804, 0.0694, 0.6426) (multiplicity 4)

Entry 6:
Li9Mn2Co5O16: simulated XRD peak list (Cu Ka), based on a crystal structure in the Materials Project, relaxed with PBE+U.

Top 10 peaks for 15 to 90 degrees two-theta, sorted by position:
18.41 deg, I = 100.0, (0 1 -2); 33.96 deg, I = 21.4, (-1 1 2); 36.62 deg, I = 12.5, (1 1 2); 36.97 deg, I = 14.8, (0 1 6); 40.71 deg, I = 36.1, (1 -2 0); 44.64 deg, I = 26.1, (1 2 0); 45.12 deg, I = 24.8, (0 0 8); 61.73 deg, I = 8.5, (2 0 0); 62.25 deg, I = 8.1, (0 4 0); 62.52 deg, I = 8.1, (1 -2 8)

Cell lengths 3.0174, 5.9889, 16.0805 Å; angles 90.63, 90.98, 95.01 degrees
Space group P-1 (No. 2)
Inequivalent atoms, fractional coordinates:
Li (0.0000, 0.0000, 0.0000) (multiplicity 1)
Li (0.0000, 0.0000, 0.5000) (multiplicity 1)
Li (0.0000, 0.5000, 0.0000) (multiplicity 1)
Li (0.0016, 0.4999, 0.2491) (multiplicity 2)
Li (0.4973, 0.7435, 0.8780) (multiplicity 2)
Li (0.5000, 0.2518, 0.6237) (multiplicity 2)
Mn (0.0014, 0.0006, 0.2491) (multiplicity 2)
Co (0.0000, 0.5000, 0.5000) (multiplicity 1)
Co (0.4951, 0.2625, 0.8805) (multiplicity 2)
Co (0.4979, 0.2522, 0.3757) (multiplicity 2)
O (0.0203, 0.5180, 0.1247) (multiplicity 2)
O (0.0228, 0.0119, 0.8716) (multiplicity 2)
O (0.0235, 0.5118, 0.6191) (multiplicity 2)
O (0.0247, 0.0113, 0.3712) (multiplicity 2)
O (0.4766, 0.7357, 0.5056) (multiplicity 2)
O (0.4779, 0.2426, 0.7595) (multiplicity 2)
O (0.4787, 0.2435, 0.2562) (multiplicity 2)
O (0.4955, 0.7531, 0.0118) (multiplicity 2)

Entry 7:
Sr3WO6: simulated XRD peak list (Cu Ka), based on a crystal structure in the Materials Project, relaxed with PBE+U.

Top 10 peaks for 15 to 90 degrees two-theta, sorted by position:
17.83 deg, I = 14.2, (0 1 1); 29.05 deg, I = 23.5, (0 2 0); 29.78 deg, I = 100.0, (1 1 1); 30.33 deg, I = 22.9, (2 0 -2); 42.49 deg, I = 22.6, (2 2 -2); 42.74 deg, I = 12.5, (0 0 4); 51.95 deg, I = 16.7, (1 3 1); 53.31 deg, I = 11.2, (2 0 -6); 53.54 deg, I = 22.9, (3 1 -1); 61.85 deg, I = 12.8, (2 2 2)

Cell lengths 5.8936, 6.1484, 10.3091 Å; angles 90.00, 124.82, 90.00 degrees
Space group P2_1/c (No. 14)
Inequivalent atoms, fractional coordinates:
Sr (0.0000, 0.0000, 0.0000) (multiplicity 2)
Sr (0.2305, 0.0510, 0.7446) (multiplicity 4)
W (0.5000, 0.0000, 0.5000) (multiplicity 2)
O (0.1834, 0.1741, 0.4544) (multiplicity 4)
O (0.2664, 0.7363, 0.4321) (multiplicity 4)
O (0.3883, 0.0510, 0.2823) (multiplicity 4)

Entry 8:
NaMn2Mo2H3O10: simulated XRD peak list (Cu Ka), based on a crystal structure in the Materials Project, relaxed with PBE+U.

Top 10 peaks for 15 to 90 degrees two-theta, sorted by position:
16.84 deg, I = 100.0, (1 0 0); 23.73 deg, I = 33.6, (1 0 -1); 24.65 deg, I = 77.0, (1 1 2); 26.48 deg, I = 77.2, (1 0 2); 28.73 deg, I = 67.1, (1 1 -1); 29.74 deg, I = 30.3, (1 -1 1); 30.99 deg, I = 43.8, (2 1 1); 32.95 deg, I = 82.4, (2 0 1); 50.49 deg, I = 29.9, (2 2 4); 51.11 deg, I = 43.7, (3 1 3)

Cell lengths 5.8461, 5.8464, 7.8129 Å; angles 68.62, 68.62, 69.33 degrees
Space group P1 (No. 1)
Inequivalent atoms, fractional coordinates:
Na (0.0000, 0.0000, 0.0000) (multiplicity 1)
Mn (0.0024, 0.4967, 0.4997) (multiplicity 1)
Mn (0.5028, 0.9993, 0.4998) (multiplicity 1)
Mo (0.4145, 0.4128, 0.7953) (multiplicity 1)
Mo (0.5873, 0.5857, 0.2047) (multiplicity 1)
H (0.0029, 0.9949, 0.5008) (multiplicity 1)
H (0.1787, 0.1721, 0.2800) (multiplicity 1)
H (0.8280, 0.8214, 0.7201) (multiplicity 1)
O (0.1455, 0.1386, 0.4197) (multiplicity 1)
O (0.2488, 0.6845, 0.2367) (multiplicity 1)
O (0.2573, 0.2570, 0.0263) (multiplicity 1)
O (0.3157, 0.7512, 0.7632) (multiplicity 1)
O (0.3282, 0.3254, 0.6265) (multiplicity 1)
O (0.6747, 0.6719, 0.3734) (multiplicity 1)
O (0.6872, 0.2472, 0.2364) (multiplicity 1)
O (0.7429, 0.7427, 0.9735) (multiplicity 1)
O (0.7530, 0.3128, 0.7635) (multiplicity 1)
O (0.8618, 0.8548, 0.5803) (multiplicity 1)